(1)
Hg6Te3Cl2: computed powder diffractogram (a wavelength of 1.5418 Å), based on a crystal structure in Alexandria, relaxed with PBE.
Lines closer than 0.1° are merged.

Structural model:
a b c (Å): 6.654 6.654 19.094
angles (deg): 90.42 90.42 91.69
Positions (direct):
Hg: 0.071 0.491 0.102
Hg: 0.162 0.645 0.420
Hg: 0.175 0.687 0.597
Hg: 0.313 0.825 0.903
Hg: 0.355 0.838 0.080
Hg: 0.491 0.071 0.602
Hg: 0.509 0.929 0.398
Hg: 0.645 0.162 0.920
Hg: 0.687 0.175 0.097
Hg: 0.825 0.313 0.403
Hg: 0.838 0.355 0.580
Hg: 0.929 0.509 0.898
Te: 0.035 0.445 0.763
Te: 0.037 0.963 0.250
Te: 0.445 0.035 0.263
Te: 0.555 0.965 0.737
Te: 0.963 0.037 0.750
Te: 0.965 0.555 0.237
Cl: 0.189 0.298 0.999
Cl: 0.298 0.189 0.499
Cl: 0.702 0.811 0.501
Cl: 0.811 0.702 0.001

Most intense lines, 2θ from 10° to 90°, in order of rising 2θ:
two_theta  intensity
18.59  100
26.40  32
28.04  43
30.75  77
33.85  39
38.85  22
40.96  27
47.60  30


(2)
Hg3Te2Cl2: computed powder diffractogram (a wavelength of 1.5418 Å), based on a crystal structure in Alexandria, relaxed with PBE.
Lines closer than 0.1° are merged.

Structural model:
a b c (Å): 8.346 8.346 8.346
angles (deg): 109.47 109.47 109.47
Positions (direct):
Hg: 0.181 0.750 0.931
Hg: 0.250 0.569 0.319
Hg: 0.319 0.250 0.569
Hg: 0.569 0.319 0.250
Hg: 0.750 0.931 0.181
Hg: 0.931 0.181 0.750
Te: 0.000 0.942 0.500
Te: 0.500 0.000 0.942
Te: 0.558 0.558 0.558
Te: 0.942 0.500 0.000
Cl: 0.000 0.486 0.500
Cl: 0.014 0.014 0.014
Cl: 0.486 0.500 0.000
Cl: 0.500 0.000 0.486

Most intense lines, 2θ from 10° to 90°, in order of rising 2θ:
two_theta  intensity
18.41  48
22.60  96
29.30  100
34.83  40
37.32  40
39.68  33
41.92  32
48.14  74


- What is the formula in the second record?
  Hg3Te2Cl2